This entry pairs a crystal structure of Cs4VS4 with its computed powder X-ray diffraction pattern. Radiation: Cu Kα. Structure: a structure optimized by DFT (PBE).
Kinematic intensities with the Lorentz-polarization factor, no thermal factor.

Atomic structure:
a = 9.6222 Å, b = 9.6222 Å, c = 7.3633 Å
α = 90.00°, β = 90.00°, γ = 90.00°
Space group P4_2/nmc (No. 137, origin choice 2)
Asymmetric unit:
Cs1 0.0298 0.2500 0.1037 (multiplicity 8)
V1 0.2500 0.7500 0.2500 (multiplicity 2)
S1 0.0565 0.7500 0.4197 (multiplicity 8)

Peak list (8 most intense, 2θ = 10–80°, sorted by position)
| h k l | two_theta | I_rel |
| --- | --- | --- |
| 2 0 1 | 22.1 | 89 |
| 2 1 1 | 24.0 | 79 |
| 1 0 2 | 25.9 | 80 |
| 2 2 0 | 26.2 | 100 |
| 3 1 1 | 31.8 | 40 |
| 2 1 2 | 32.0 | 51 |
| 4 0 0 | 37.4 | 44 |
| 3 2 2 | 41.8 | 50 |